This entry pairs a crystal structure of ThInSn with its computed powder diffraction line list. Radiation: a wavelength of 1.5418 Å. Structure: a DFT-relaxed cell (GGA-PBE, Alexandria).
Kinematic intensities with the Lorentz-polarization factor, no thermal factor.

Most intense lines, 10 to 90 degrees two-theta, sorted by position:
Position (°2θ)	Rel. int.	index
29.94	77	2 0 0
32.75	84	1 1 2
34.22	55	0 2 2
34.51	100	1 3 0
46.10	48	2 2 2
56.15	29	3 3 0
62.56	24	1 5 2
67.35	29	1 3 4

```
data_ThInSn
_cell_length_a 5.969
_cell_length_b 8.662
_cell_length_c 6.582
_cell_angle_alpha 90.00
_cell_angle_beta 90.00
_cell_angle_gamma 90.00
_space_group_name_H-M_alt 'C m c m'
_space_group_IT_number 63
_space_group_name_Hall '-C 2c 2'
loop_
_atom_site_label
_atom_site_type_symbol
_atom_site_fract_x
_atom_site_fract_y
_atom_site_fract_z
Th1 Th 0.000 0.169 0.250
In1 In 0.000 0.194 0.750
Sn1 Sn 0.000 0.500 0.000
```

This entry pairs a crystal structure of Th4InSn2 with its computed powder diffraction line list. Radiation: a wavelength of 1.5418 Å. Structure: a DFT-relaxed cell (GGA-PBE, Alexandria).
Kinematic intensities with the Lorentz-polarization factor, no thermal factor.

Most intense lines, 10 to 90 degrees two-theta, sorted by position:
Position (°2θ)	Rel. int.	index
23.40	27	1 0 4
24.73	82	0 1 5
28.01	42	1 0 7
34.01	71	1 0 10
36.22	29	0 1 11
36.48	100	1 1 0
50.72	23	0 2 10
64.08	23	2 1 10

```
data_Th4InSn2
_cell_length_a 4.9264
_cell_length_b 4.9264
_cell_length_c 33.5294
_cell_angle_alpha 90.00
_cell_angle_beta 90.00
_cell_angle_gamma 120.00
_space_group_name_H-M_alt 'R -3 m'
_space_group_IT_number 166
_space_group_name_Hall '-R 3 2"'
loop_
_atom_site_label
_atom_site_type_symbol
_atom_site_fract_x
_atom_site_fract_y
_atom_site_fract_z
Th1 Th 0.0000 0.0000 0.1190
Th2 Th 0.0000 0.0000 0.3009
In1 In 0.0000 0.0000 0.5000
Sn1 Sn 0.0000 0.0000 0.4048
```